(1)
This entry pairs a crystal structure of Pr3Sm2Th with its theoretical powder diffraction line list. Radiation: Cu Kα (λ = 1.5418 Å). Structure: a DFT-relaxed cell (PBE, Alexandria).

Crystal structure
Cell lengths 5.176, 10.402, 15.532 Å; angles 90.00, 90.00, 90.00 degrees
Space group Imma (No. 74)
Asymmetric unit:
1 Pr 0.000 0.000 0.000
2 Pr 0.000 0.007 0.332
3 Sm 0.000 0.250 0.497
4 Sm 0.000 0.250 0.833
5 Th 0.000 0.250 0.169

The 8 most intense peaks (2θ = 10–90°), most intense first:
| 2theta | d [Å] | Rel. int. | hkl |
| --- | --- | --- | --- |
| 29.8 | 2.994 | 100 | 1 2 3 |
| 34.7 | 2.588 | 34 | 2 0 0 |
| 59.2 | 1.562 | 29 | 3 2 3 |
| 49.7 | 1.835 | 24 | 2 4 0 |
| 34.5 | 2.601 | 17 | 0 4 0 |
| 58.9 | 1.567 | 14 | 1 6 3 |
| 62.0 | 1.497 | 12 | 2 4 6 |
| 49.8 | 1.830 | 12 | 2 0 6 |

(2)
This entry pairs a crystal structure of PrSm2Th2 with its theoretical powder diffraction line list. Radiation: Cu Kα (λ = 1.5418 Å). Structure: a DFT-relaxed cell (PBE, Alexandria).

Crystal structure
Cell lengths 3.6200, 3.6200, 44.3801 Å; angles 90.00, 90.00, 120.00 degrees
Space group R-3m (No. 166, hexagonal axes)
Asymmetric unit:
1 Pr 0.0000 0.0000 0.0000
2 Sm 0.0000 0.0000 0.4023
3 Th 0.0000 0.0000 0.1986

The 8 most intense peaks (2θ = 10–90°), most intense first:
| 2theta | d [Å] | Rel. int. | hkl |
| --- | --- | --- | --- |
| 30.2 | 2.957 | 100 | 0 1 5 |
| 35.0 | 2.561 | 51 | 1 0 10 |
| 59.9 | 1.544 | 43 | 2 0 5 |
| 50.4 | 1.811 | 36 | 1 1 0 |
| 82.0 | 1.175 | 18 | 1 2 5 |
| 84.6 | 1.145 | 16 | 2 1 10 |
| 62.9 | 1.478 | 12 | 0 2 10 |
| 74.0 | 1.280 | 6 | 2 0 20 |

(3)
This entry pairs a crystal structure of Pr7Sm2Th2 with its theoretical powder diffraction line list. Radiation: Cu Kα (λ = 1.5418 Å). Structure: a DFT-relaxed cell (PBE, Alexandria).

Crystal structure
Cell lengths 17.791, 12.039, 3.678 Å; angles 90.00, 97.83, 90.00 degrees
Space group C2/m (No. 12)
Asymmetric unit:
1 Pr 0.000 0.000 0.000
2 Pr 0.098 0.500 0.757
3 Pr 0.164 0.245 0.155
4 Sm 0.207 0.000 0.653
5 Th 0.000 0.256 0.500

The 8 most intense peaks (2θ = 10–90°), most intense first:
| 2theta | d [Å] | Rel. int. | hkl |
| --- | --- | --- | --- |
| 31.5 | 2.837 | 100 | 2 2 1 |
| 29.7 | 3.011 | 79 | 0 4 0 |
| 33.2 | 2.697 | 37 | 4 2 -1 |
| 34.0 | 2.640 | 35 | 6 2 0 |
| 26.3 | 3.383 | 28 | 5 1 0 |
| 28.0 | 3.187 | 25 | 3 1 -1 |
| 53.9 | 1.702 | 22 | 2 6 1 |
| 30.4 | 2.937 | 16 | 6 0 0 |

(4)
This entry pairs a crystal structure of Pr3Sm6Tm2Th with its theoretical powder diffraction line list. Radiation: Cu Kα (λ = 1.5418 Å). Structure: a DFT-relaxed cell (PBE, Alexandria).

Crystal structure
Cell lengths 6.269, 10.843, 12.065 Å; angles 90.00, 99.95, 90.00 degrees
Space group C2/m (No. 12)
Asymmetric unit:
1 Pr 0.000 0.000 0.000
2 Pr 0.000 0.333 0.000
3 Sm 0.246 0.335 0.744
4 Sm 0.249 0.500 0.256
5 Tm 0.000 0.167 0.500
6 Th 0.000 0.500 0.500

The 8 most intense peaks (2θ = 10–90°), most intense first:
| 2theta | d [Å] | Rel. int. | hkl |
| --- | --- | --- | --- |
| 30.2 | 2.955 | 100 | 1 3 1 |
| 35.0 | 2.563 | 68 | 2 0 2 |
| 30.1 | 2.971 | 34 | 0 0 4 |
| 59.9 | 1.545 | 34 | 4 0 0 |
| 50.5 | 1.808 | 24 | 0 6 0 |
| 50.3 | 1.816 | 24 | 1 3 5 |
| 59.7 | 1.549 | 14 | 2 0 6 |
| 62.9 | 1.478 | 12 | 2 6 2 |

(5)
This entry pairs a crystal structure of PrSmYTh2 with its theoretical powder diffraction line list. Radiation: Cu Kα (λ = 1.5418 Å). Structure: a DFT-relaxed cell (PBE, Alexandria).

Crystal structure
Cell lengths 6.700, 15.932, 6.734 Å; angles 90.00, 90.00, 90.00 degrees
Space group Cmcm (No. 63)
Asymmetric unit:
1 Pr 0.000 0.151 0.250
2 Sm 0.000 0.277 0.750
3 Y 0.000 0.347 0.250
4 Th 0.245 0.500 0.000

The 8 most intense peaks (2θ = 10–90°), most intense first:
| 2theta | d [Å] | Rel. int. | hkl |
| --- | --- | --- | --- |
| 28.8 | 3.101 | 100 | 0 2 2 |
| 28.9 | 3.088 | 99 | 2 2 0 |
| 37.9 | 2.375 | 76 | 2 0 2 |
| 11.1 | 7.966 | 49 | 0 2 0 |
| 51.6 | 1.770 | 39 | 2 6 2 |
| 34.9 | 2.571 | 36 | 0 4 2 |
| 35.0 | 2.564 | 36 | 2 4 0 |
| 33.9 | 2.646 | 33 | 1 5 1 |

(6)
This entry pairs a crystal structure of Pr4SmTl2 with its theoretical powder diffraction line list. Radiation: Cu Kα (λ = 1.5418 Å). Structure: a DFT-relaxed cell (PBE, Alexandria).

Crystal structure
Cell lengths 4.947, 5.970, 8.434 Å; angles 99.43, 95.53, 105.76 degrees
Space group P1 (No. 1)
Asymmetric unit:
1 Pr 0.000 0.000 0.000
2 Pr 0.000 0.001 0.500
3 Pr 0.206 0.554 0.832
4 Pr 0.794 0.446 0.169
5 Sm 0.501 0.501 0.501
6 Tl 0.448 0.861 0.233
7 Tl 0.552 0.139 0.767

The 8 most intense peaks (2θ = 10–90°), most intense first:
| 2theta | d [Å] | Rel. int. | hkl |
| --- | --- | --- | --- |
| 30.4 | 2.943 | 100 | -1 1 2 |
| 32.6 | 2.746 | 77 | 1 -2 1 |
| 31.7 | 2.824 | 69 | 1 1 -2 |
| 32.2 | 2.777 | 50 | 1 1 1 |
| 29.9 | 2.990 | 50 | 1 -1 2 |
| 30.9 | 2.892 | 42 | 1 0 2 |
| 36.8 | 2.442 | 34 | 2 -1 0 |
| 38.2 | 2.356 | 34 | 2 0 -1 |

(7)
This entry pairs a crystal structure of Pr7Sm3Tl with its theoretical powder diffraction line list. Radiation: Cu Kα (λ = 1.5418 Å). Structure: a DFT-relaxed cell (PBE, Alexandria).

Crystal structure
Cell lengths 7.1961, 7.1961, 8.7662 Å; angles 90.00, 90.00, 120.00 degrees
Space group P3m1 (No. 156)
Asymmetric unit:
1 Pr 0.0000 0.0000 0.0000
2 Pr 0.1647 0.3294 0.3391
3 Pr 0.5023 0.0045 0.0094
4 Sm 0.3326 0.1663 0.6701
5 Tl 0.6667 0.3333 0.3474

The 8 most intense peaks (2θ = 10–90°), most intense first:
| 2theta | d [Å] | Rel. int. | hkl |
| --- | --- | --- | --- |
| 30.4 | 2.936 | 100 | 0 2 1 |
| 35.3 | 2.540 | 67 | 2 0 2 |
| 60.4 | 1.533 | 42 | 4 0 1 |
| 30.6 | 2.922 | 32 | 0 0 3 |
| 50.7 | 1.799 | 24 | 2 2 0 |
| 50.9 | 1.793 | 24 | 0 2 4 |
| 60.6 | 1.528 | 14 | 2 0 5 |
| 63.4 | 1.468 | 12 | 0 4 2 |

(8)
This entry pairs a crystal structure of PrSm3Tl2 with its theoretical powder diffraction line list. Radiation: Cu Kα (λ = 1.5418 Å). Structure: a DFT-relaxed cell (PBE, Alexandria).

Crystal structure
Cell lengths 5.239, 10.283, 6.914 Å; angles 90.00, 90.00, 90.00 degrees
Space group Pmc2_1 (No. 26)
Asymmetric unit:
1 Pr 0.000 0.044 0.000
2 Sm 0.000 0.317 0.624
3 Sm 0.500 0.187 0.272
4 Sm 0.500 0.456 0.901
5 Tl 0.000 0.366 0.157
6 Tl 0.500 0.138 0.738

The 8 most intense peaks (2θ = 10–90°), most intense first:
| 2theta | d [Å] | Rel. int. | hkl |
| --- | --- | --- | --- |
| 31.2 | 2.868 | 100 | 1 3 0 |
| 32.2 | 2.778 | 65 | 1 1 2 |
| 34.2 | 2.620 | 48 | 2 0 0 |
| 31.0 | 2.885 | 47 | 1 0 2 |
| 33.8 | 2.649 | 28 | 1 3 1 |
| 36.9 | 2.434 | 20 | 0 3 2 |
| 51.2 | 1.783 | 16 | 2 3 2 |
| 29.1 | 3.071 | 14 | 0 3 1 |

(9)
This entry pairs a crystal structure of Pr2Sm3Tl with its theoretical powder diffraction line list. Radiation: Cu Kα (λ = 1.5418 Å). Structure: a DFT-relaxed cell (PBE, Alexandria).

Crystal structure
Cell lengths 5.283, 9.319, 16.072 Å; angles 90.00, 90.00, 90.00 degrees
Space group Imma (No. 74)
Asymmetric unit:
1 Pr 0.000 0.250 0.027
2 Pr 0.000 0.250 0.324
3 Sm 0.000 0.000 0.500
4 Sm 0.000 0.040 0.828
5 Tl 0.000 0.250 0.646

The 8 most intense peaks (2θ = 10–90°), most intense first:
| 2theta | d [Å] | Rel. int. | hkl |
| --- | --- | --- | --- |
| 30.5 | 2.927 | 100 | 1 2 3 |
| 33.9 | 2.642 | 22 | 2 0 0 |
| 33.5 | 2.679 | 17 | 0 0 6 |
| 58.6 | 1.575 | 16 | 3 2 3 |
| 48.4 | 1.881 | 12 | 2 0 6 |
| 38.6 | 2.330 | 11 | 0 4 0 |
| 52.4 | 1.747 | 9 | 2 4 0 |
| 58.0 | 1.590 | 9 | 1 2 9 |

(10)
This entry pairs a crystal structure of Pr4Sm3Tl4 with its theoretical powder diffraction line list. Radiation: Cu Kα (λ = 1.5418 Å). Structure: a DFT-relaxed cell (PBE, Alexandria).

Crystal structure
Cell lengths 3.747, 9.596, 19.678 Å; angles 90.00, 90.00, 90.00 degrees
Space group Immm (No. 71)
Asymmetric unit:
1 Pr 0.000 0.176 0.163
2 Sm 0.000 0.000 0.406
3 Sm 0.000 0.500 0.500
4 Tl 0.000 0.279 0.000
5 Tl 0.000 0.500 0.225

The 8 most intense peaks (2θ = 10–90°), most intense first:
| 2theta | d [Å] | Rel. int. | hkl |
| --- | --- | --- | --- |
| 33.0 | 2.711 | 100 | 0 2 6 |
| 30.6 | 2.920 | 85 | 1 2 1 |
| 31.4 | 2.847 | 83 | 1 1 4 |
| 31.1 | 2.875 | 70 | 0 3 3 |
| 38.1 | 2.362 | 40 | 1 3 2 |
| 60.5 | 1.530 | 35 | 1 2 11 |
| 44.5 | 2.036 | 34 | 1 2 7 |
| 33.2 | 2.697 | 33 | 0 1 7 |

(11)
This entry pairs a crystal structure of Pr3SmTl with its theoretical powder diffraction line list. Radiation: Cu Kα (λ = 1.5418 Å). Structure: a DFT-relaxed cell (PBE, Alexandria).

Crystal structure
Cell lengths 5.259, 9.372, 6.904 Å; angles 90.00, 90.00, 90.00 degrees
Space group Imm2 (No. 44)
Asymmetric unit:
1 Pr 0.000 0.000 0.000
2 Pr 0.000 0.305 0.717
3 Sm 0.000 0.500 0.214
4 Tl 0.000 0.000 0.455

The 8 most intense peaks (2θ = 10–90°), most intense first:
| 2theta | d [Å] | Rel. int. | hkl |
| --- | --- | --- | --- |
| 32.5 | 2.758 | 100 | 1 1 2 |
| 28.6 | 3.121 | 74 | 1 2 1 |
| 34.1 | 2.629 | 40 | 2 0 0 |
| 58.7 | 1.572 | 32 | 1 5 2 |
| 33.4 | 2.686 | 27 | 1 3 0 |
| 32.2 | 2.779 | 25 | 0 2 2 |
| 18.9 | 4.686 | 21 | 0 2 0 |
| 31.4 | 2.846 | 21 | 0 3 1 |

(12)
This entry pairs a crystal structure of Pr2Sm4Tl5 with its theoretical powder diffraction line list. Radiation: Cu Kα (λ = 1.5418 Å). Structure: a DFT-relaxed cell (PBE, Alexandria).

Crystal structure
Cell lengths 6.748, 10.832, 20.700 Å; angles 90.00, 90.00, 90.00 degrees
Space group Fmmm (No. 69)
Asymmetric unit:
1 Pr 0.000 0.000 0.163
2 Sm 0.000 0.166 0.371
3 Tl 0.000 0.000 0.500
4 Tl 0.250 0.250 0.000
5 Tl 0.250 0.250 0.250

The 8 most intense peaks (2θ = 10–90°), most intense first:
| 2theta | d [Å] | Rel. int. | hkl |
| --- | --- | --- | --- |
| 30.9 | 2.891 | 100 | 1 3 3 |
| 31.7 | 2.826 | 99 | 2 0 4 |
| 35.8 | 2.506 | 97 | 2 2 4 |
| 31.2 | 2.864 | 54 | 2 2 0 |
| 16.4 | 5.416 | 48 | 0 2 0 |
| 34.7 | 2.587 | 47 | 0 0 8 |
| 37.5 | 2.399 | 44 | 0 4 4 |
| 57.9 | 1.592 | 42 | 2 6 0 |